# 1
Simulated XRD peak list
Compound: Rb2NiBI6
Radiation: Cu Ka
Structure: a crystal structure in Alexandria, relaxed with PBE

Cell and atoms:
```
data_Rb2NiBI6
_chemical_formula_sum 'Rb4 Ni2 B2 I12'
_cell_length_a 7.6309
_cell_length_b 7.6309
_cell_length_c 12.2628
_cell_angle_alpha 90.00
_cell_angle_beta 90.00
_cell_angle_gamma 90.00
_space_group_name_H-M_alt 'I 4/m m m'
_space_group_IT_number 139
_space_group_name_Hall '-I 4 2'
loop_
_atom_site_label
_atom_site_type_symbol
_atom_site_fract_x
_atom_site_fract_y
_atom_site_fract_z
_atom_site_occupancy
Rb1 Rb 0.0000 0.5000 0.2500 1
Ni1 Ni 0.0000 0.0000 0.0000 1
B1 B 0.0000 0.0000 0.5000 1
I1 I 0.0000 0.0000 0.2072 1
I2 I 0.2327 0.2327 0.5000 1
```

Peak list (10 most intense, 10 to 90 degrees two-theta, in order of rising 2θ)
27.12°, I 10.0, hkl 2 1 1
27.53°, I 100.0, hkl 2 0 2
29.13°, I 25.2, hkl 0 0 4
33.21°, I 44.9, hkl 2 2 0
44.75°, I 28.7, hkl 2 2 4
45.55°, I 9.7, hkl 2 1 5
47.66°, I 17.5, hkl 4 0 0
50.67°, I 10.0, hkl 2 0 6
55.94°, I 24.0, hkl 4 2 2
56.84°, I 13.2, hkl 4 0 4

# 2
Simulated XRD peak list
Compound: Rb2BI6O
Radiation: Cu Ka
Structure: a crystal structure in Alexandria, relaxed with PBE

Cell and atoms:
```
data_Rb2BI6O
_chemical_formula_sum 'Rb4 B2 I12 O2'
_cell_length_a 7.6276
_cell_length_b 7.6276
_cell_length_c 11.8724
_cell_angle_alpha 90.00
_cell_angle_beta 90.00
_cell_angle_gamma 90.00
_space_group_name_H-M_alt 'I 4/m m m'
_space_group_IT_number 139
_space_group_name_Hall '-I 4 2'
loop_
_atom_site_label
_atom_site_type_symbol
_atom_site_fract_x
_atom_site_fract_y
_atom_site_fract_z
_atom_site_occupancy
Rb1 Rb 0.0000 0.5000 0.2500 1
B1 B 0.0000 0.0000 0.0000 1
I1 I 0.0000 0.0000 0.3003 1
I2 I 0.2244 0.2244 0.0000 1
O1 O 0.0000 0.0000 0.5000 1
```

Peak list (10 most intense, 10 to 90 degrees two-theta, in order of rising 2θ)
25.35°, I 14.1, hkl 1 0 3
27.20°, I 8.2, hkl 2 1 1
27.80°, I 100.0, hkl 2 0 2
30.11°, I 18.0, hkl 0 0 4
33.22°, I 37.1, hkl 2 2 0
45.44°, I 19.7, hkl 2 2 4
47.69°, I 11.7, hkl 4 0 0
48.81°, I 10.6, hkl 3 2 3
56.11°, I 21.6, hkl 4 2 2
57.44°, I 8.4, hkl 4 0 4

# 3
Simulated XRD peak list
Compound: Zn3B7IO13
Radiation: Cu Ka
Structure: a crystal structure in Alexandria, relaxed with PBE

Cell and atoms:
```
data_Zn3B7IO13
_chemical_formula_sum 'Zn24 B56 I8 O104'
_cell_length_a 12.2496
_cell_length_b 12.2496
_cell_length_c 12.2496
_cell_angle_alpha 90.00
_cell_angle_beta 90.00
_cell_angle_gamma 90.00
_space_group_name_H-M_alt 'F -4 3 c'
_space_group_IT_number 219
_space_group_name_Hall 'F -4a 2 3'
loop_
_atom_site_label
_atom_site_type_symbol
_atom_site_fract_x
_atom_site_fract_y
_atom_site_fract_z
_atom_site_occupancy
Zn1 Zn 0.0000 0.0000 0.2500 1
B1 B 0.0000 0.2500 0.2500 1
B2 B 0.1697 0.1697 0.1697 1
I1 I 0.0000 0.0000 0.0000 1
O1 O 0.0698 0.1537 0.2297 1
O2 O 0.2500 0.2500 0.2500 1
```

Peak list (10 most intense, 10 to 90 degrees two-theta, in order of rising 2θ)
14.46°, I 35.2, hkl 2 0 0
29.16°, I 100.0, hkl 4 0 0
32.69°, I 92.6, hkl 4 2 0
41.71°, I 65.3, hkl 4 4 0
44.37°, I 24.5, hkl 6 0 0
51.70°, I 30.6, hkl 4 4 4
53.98°, I 20.2, hkl 6 4 0
62.53°, I 29.1, hkl 8 2 0
68.51°, I 32.7, hkl 8 4 0
76.14°, I 28.7, hkl 8 4 4

# 4
Simulated XRD peak list
Compound: BP4S3I3
Radiation: Cu Ka
Structure: a crystal structure in Alexandria, relaxed with PBE

Cell and atoms:
```
data_BP4S3I3
_chemical_formula_sum 'B4 P16 S12 I12'
_cell_length_a 13.8081
_cell_length_b 12.4926
_cell_length_c 9.0436
_cell_angle_alpha 90.00
_cell_angle_beta 90.00
_cell_angle_gamma 90.00
_space_group_name_H-M_alt 'P n m a'
_space_group_IT_number 62
_space_group_name_Hall '-P 2ac 2n'
loop_
_atom_site_label
_atom_site_type_symbol
_atom_site_fract_x
_atom_site_fract_y
_atom_site_fract_z
_atom_site_occupancy
B1 B 0.1459 0.2500 0.0352 1
P1 P 0.0206 0.1586 0.5254 1
P2 P 0.1136 0.2500 0.8224 1
P3 P 0.1601 0.2500 0.4771 1
S1 S 0.0324 0.1181 0.7517 1
S2 S 0.2341 0.2500 0.6814 1
I1 I 0.0014 0.2500 0.1526 1
I2 I 0.2294 0.1005 0.0761 1
```

Peak list (10 most intense, 10 to 90 degrees two-theta, in order of rising 2θ)
13.68°, I 58.3, hkl 1 1 1
14.18°, I 48.9, hkl 0 2 0
14.66°, I 63.8, hkl 2 1 0
19.16°, I 41.8, hkl 2 2 0
20.67°, I 52.8, hkl 1 0 2
24.40°, I 87.4, hkl 1 3 1
25.81°, I 59.7, hkl 4 0 0
26.88°, I 100.0, hkl 2 3 1
27.65°, I 36.9, hkl 3 0 2
30.56°, I 68.5, hkl 0 1 3

# 5
Simulated XRD peak list
Compound: Rb2YBI6
Radiation: Cu Ka
Structure: a crystal structure in Alexandria, relaxed with PBE

Cell and atoms:
```
data_Rb2YBI6
_chemical_formula_sum 'Rb8 Y4 B4 I24'
_cell_length_a 11.8605
_cell_length_b 11.8605
_cell_length_c 11.8605
_cell_angle_alpha 90.00
_cell_angle_beta 90.00
_cell_angle_gamma 90.00
_space_group_name_H-M_alt 'F m -3 m'
_space_group_IT_number 225
_space_group_name_Hall '-F 4 2 3'
loop_
_atom_site_label
_atom_site_type_symbol
_atom_site_fract_x
_atom_site_fract_y
_atom_site_fract_z
_atom_site_occupancy
Rb1 Rb 0.2500 0.2500 0.2500 1
Y1 Y 0.0000 0.0000 0.0000 1
B1 B 0.0000 0.0000 0.5000 1
I1 I 0.0000 0.0000 0.2555 1
```

Peak list (10 most intense, 10 to 90 degrees two-theta, in order of rising 2θ)
14.94°, I 13.6, hkl 2 0 0
26.02°, I 100.0, hkl 2 2 2
30.14°, I 79.1, hkl 4 0 0
43.15°, I 57.8, hkl 4 4 0
51.08°, I 45.6, hkl 6 2 2
53.53°, I 20.1, hkl 4 4 4
69.03°, I 18.2, hkl 6 6 2
71.09°, I 25.5, hkl 8 4 0
79.12°, I 19.0, hkl 8 4 4
84.98°, I 14.1, hkl 10 2 2